# 1
For Ni3Sn, a GGA-PBE-relaxed structure gives the calculated X-ray diffraction stick pattern in this record (Cu Kα (weighted mean of Kα1 and Kα2)).

Structural model:
Unit cell a=5.305 b=5.305 c=4.242 alpha=90.00 beta=90.00 gamma=120.00
Fractional coordinates of all 8 atoms:
Ni  0.160  0.319  0.250
Ni  0.160  0.840  0.250
Ni  0.319  0.160  0.750
Ni  0.681  0.840  0.250
Ni  0.840  0.160  0.750
Ni  0.840  0.681  0.750
Sn  0.333  0.667  0.750
Sn  0.667  0.333  0.250

Top 10 peaks for 15° ≤ 2θ ≤ 90°, in order of falling intensity:
two_theta, I (rel.)
44.87, 100
42.63, 26
39.22, 25
86.57, 19
79.62, 18
71.08, 16
59.31, 14
88.12, 14
28.64, 13
33.79, 5

# 2
For YMg6V, a GGA-PBE-relaxed structure gives the calculated X-ray diffraction stick pattern in this record (Cu Kα (weighted mean of Kα1 and Kα2)).

Structural model:
Unit cell a=5.169 b=6.461 c=6.461 alpha=59.22 beta=90.00 gamma=90.00
Fractional coordinates of all 8 atoms:
Y  0.000  0.000  0.000
Mg  0.000  0.006  0.498
Mg  0.000  0.498  0.006
Mg  0.500  0.169  0.169
Mg  0.500  0.183  0.656
Mg  0.500  0.656  0.183
Mg  0.500  0.660  0.660
V  0.000  0.500  0.500

Top 10 peaks for 15° ≤ 2θ ≤ 90°, in order of falling intensity:
two_theta, I (rel.)
36.75, 100
36.41, 52
34.71, 38
32.25, 30
15.78, 27
17.15, 21
23.39, 19
68.51, 19
48.11, 19
63.56, 19

# 3
For Gd5Ge4, a GGA-PBE-relaxed structure gives the calculated X-ray diffraction stick pattern in this record (Cu Kα (weighted mean of Kα1 and Kα2)).

Structural model:
Unit cell a=7.737 b=14.933 c=7.839 alpha=90.00 beta=90.00 gamma=90.00
Fractional coordinates of all 36 atoms:
Gd  0.024  0.100  0.178
Gd  0.024  0.400  0.178
Gd  0.123  0.617  0.338
Gd  0.123  0.883  0.338
Gd  0.209  0.250  0.501
Gd  0.291  0.750  0.001
Gd  0.377  0.117  0.838
Gd  0.377  0.383  0.838
Gd  0.476  0.600  0.678
Gd  0.476  0.900  0.678
Gd  0.524  0.100  0.322
Gd  0.524  0.400  0.322
Gd  0.623  0.617  0.162
Gd  0.623  0.883  0.162
Gd  0.709  0.250  0.999
Gd  0.791  0.750  0.499
Gd  0.877  0.117  0.662
Gd  0.877  0.383  0.662
Gd  0.976  0.600  0.822
Gd  0.976  0.900  0.822
Ge  0.082  0.250  0.887
Ge  0.175  0.750  0.634
Ge  0.218  0.044  0.533
Ge  0.218  0.456  0.533
Ge  0.282  0.544  0.033
Ge  0.282  0.956  0.033
Ge  0.325  0.250  0.134
Ge  0.418  0.750  0.387
Ge  0.582  0.250  0.613
Ge  0.675  0.750  0.866
Ge  0.718  0.044  0.967
Ge  0.718  0.456  0.967
Ge  0.782  0.544  0.467
Ge  0.782  0.956  0.467
Ge  0.825  0.250  0.366
Ge  0.918  0.750  0.113

Top 10 peaks for 15° ≤ 2θ ≤ 90°, in order of falling intensity:
two_theta, I (rel.)
31.26, 100
33.13, 55
35.32, 51
36.80, 48
31.43, 42
32.52, 35
33.35, 34
36.09, 31
36.68, 30
25.68, 25

# 4
For Ag2O, a GGA-PBE-relaxed structure gives the calculated X-ray diffraction stick pattern in this record (Cu Kα (weighted mean of Kα1 and Kα2)).

Structural model:
Unit cell a=3.215 b=3.215 c=4.989 alpha=90.00 beta=90.00 gamma=120.00
Fractional coordinates of all 3 atoms:
Ag  0.333  0.667  0.213
Ag  0.667  0.333  0.787
O  0.000  0.000  0.500

Top 10 peaks for 15° ≤ 2θ ≤ 90°, in order of falling intensity:
two_theta, I (rel.)
36.97, 100
49.03, 24
57.31, 20
32.14, 18
36.01, 16
70.18, 14
69.57, 13
65.36, 12
85.27, 6
83.67, 6

# 5
For Sm3Pt4, a GGA-PBE-relaxed structure gives the calculated X-ray diffraction stick pattern in this record (Cu Kα (weighted mean of Kα1 and Kα2)).

Structural model:
Unit cell a=8.051 b=8.051 c=8.051 alpha=114.44 beta=114.44 gamma=114.44
Fractional coordinates of all 14 atoms:
Sm  0.027  0.403  0.281
Sm  0.281  0.027  0.403
Sm  0.403  0.281  0.027
Sm  0.597  0.719  0.973
Sm  0.719  0.973  0.597
Sm  0.973  0.597  0.719
Pt  0.000  0.000  0.000
Pt  0.060  0.223  0.552
Pt  0.223  0.552  0.060
Pt  0.448  0.940  0.777
Pt  0.500  0.500  0.500
Pt  0.552  0.060  0.223
Pt  0.777  0.448  0.940
Pt  0.940  0.777  0.448

Top 10 peaks for 15° ≤ 2θ ≤ 90°, in order of falling intensity:
two_theta, I (rel.)
35.07, 100
37.09, 74
31.55, 25
41.77, 21
36.84, 20
51.97, 16
34.55, 14
64.25, 12
64.08, 11
49.86, 11

# 6
For LiTi2O4, a GGA-PBE-relaxed structure gives the calculated X-ray diffraction stick pattern in this record (Cu Kα (weighted mean of Kα1 and Kα2)).

Structural model:
Unit cell a=6.341 b=6.341 c=6.598 alpha=106.21 beta=106.21 gamma=36.93
Fractional coordinates of all 14 atoms:
Li  0.057  0.057  0.349
Li  0.943  0.943  0.651
Ti  0.289  0.289  0.715
Ti  0.386  0.386  0.291
Ti  0.614  0.614  0.709
Ti  0.711  0.711  0.285
O  0.115  0.115  0.674
O  0.227  0.227  0.344
O  0.351  0.351  0.999
O  0.440  0.440  0.642
O  0.560  0.560  0.358
O  0.649  0.649  0.001
O  0.773  0.773  0.656
O  0.885  0.885  0.326

Top 10 peaks for 15° ≤ 2θ ≤ 90°, in order of falling intensity:
two_theta, I (rel.)
45.19, 100
23.46, 73
28.31, 60
15.42, 51
43.03, 38
32.39, 30
32.29, 29
65.83, 26
30.14, 20
64.14, 18